Computed powder X-ray diffraction pattern
Compound: LaMoI4O15
Radiation: Cu Ka
Structure: DFT lattice parameters and positions (GGA+U)

Structure:
Lattice parameters (Å, degrees): 7.2173 14.2437 7.3560 90.00 114.03 90.00
Fractional coordinates of all 42 atoms:
1 La 0.0789 0.0000 0.4448
2 La 0.9211 0.5000 0.5552
3 Mo 0.4185 0.6705 0.2253
4 Mo 0.5815 0.1705 0.7747
5 I 0.1611 0.1332 0.9656
6 I 0.2437 0.7492 0.7151
7 I 0.2567 0.4129 0.1169
8 I 0.4764 0.9127 0.2598
9 I 0.5236 0.4127 0.7402
10 I 0.7433 0.9129 0.8831
11 I 0.7563 0.2492 0.2849
12 I 0.8389 0.6332 0.0344
13 O 0.0543 0.4062 0.8676
14 O 0.0591 0.6558 0.6172
15 O 0.0809 0.8492 0.6090
16 O 0.0927 0.0378 0.7835
17 O 0.2336 0.0653 0.1941
18 O 0.2355 0.7529 0.9676
19 O 0.2432 0.5714 0.0729
20 O 0.2502 0.2906 0.1933
21 O 0.2763 0.7063 0.3569
22 O 0.2901 0.4781 0.6259
23 O 0.3852 0.1005 0.6085
24 O 0.4008 0.9130 0.4705
25 O 0.4086 0.2922 0.7028
26 O 0.4217 0.1574 0.9888
27 O 0.4899 0.4088 0.0757
28 O 0.5101 0.9088 0.9243
29 O 0.5783 0.6574 0.0112
30 O 0.5914 0.7922 0.2972
31 O 0.5992 0.4130 0.5295
32 O 0.6148 0.6005 0.3915
33 O 0.7099 0.9781 0.3741
34 O 0.7237 0.2063 0.6431
35 O 0.7498 0.7906 0.8067
36 O 0.7568 0.0714 0.9271
37 O 0.7645 0.2529 0.0324
38 O 0.7664 0.5653 0.8059
39 O 0.9073 0.5378 0.2165
40 O 0.9191 0.3492 0.3910
41 O 0.9409 0.1558 0.3828
42 O 0.9457 0.9062 0.1324

Main lines, low angle first (10° ≤ 2θ ≤ 90°):
| hkl | 2θ/deg | I_rel |
| --- | --- | --- |
| 0 3 1 | 22.9 | 51 |
| 1 3 0 | 23.1 | 83 |
| 1 1 1 | 23.3 | 84 |
| 1 0 -2 | 24.4 | 73 |
| 1 1 -2 | 25.2 | 59 |
| 2 1 -1 | 25.6 | 100 |
| 0 4 1 | 28.4 | 50 |
| 1 3 1 | 29.4 | 54 |